# 1
Simulated powder diffractogram of PmDy2Th for a wavelength of 1.5418 Å, from DFT lattice parameters and positions (PBE).
Lines closer than 0.1° are merged.

The 10 most intense peaks (2θ = 10–90°), low angle first:
Position (°2θ), I_rel, hkl
30.64, 100, 1 1 1
35.37, 34, 2 0 0
35.85, 17, 0 0 2
50.89, 12, 2 2 0
51.25, 24, 2 0 2
60.58, 29, 3 1 1
61.22, 14, 1 1 3
63.81, 13, 2 2 2
82.99, 6, 3 3 1
83.56, 12, 3 1 3

```
data_PmDy2Th
_space_group_name_H-M_alt 'P 4/m m m'
_space_group_IT_number 123
_space_group_name_Hall '-P 4 2'
_cell_length_a 5.075
_cell_length_b 5.075
_cell_length_c 5.009
_cell_angle_alpha 90.00
_cell_angle_beta 90.00
_cell_angle_gamma 90.00
loop_
_atom_site_label
_atom_site_type_symbol
_atom_site_fract_x
_atom_site_fract_y
_atom_site_fract_z
_atom_site_occupancy
Pm1 Pm 0.000 0.000 0.000 1
Dy1 Dy 0.000 0.500 0.500 1
Th1 Th 0.500 0.500 0.000 1
```

=====

# 2
Simulated powder diffractogram of Pm10DyTh4 for a wavelength of 1.5418 Å, from DFT lattice parameters and positions (PBE).
Lines closer than 0.1° are merged.

The 10 most intense peaks (2θ = 10–90°), low angle first:
Position (°2θ), I_rel, hkl
12.71, 25, 1 1 0
26.43, 70, 1 0 3
28.42, 100, 3 0 1
28.66, 81, 3 1 0
32.17, 91, 2 1 3
33.24, 81, 1 3 2
33.86, 48, 3 2 1
41.55, 26, 2 3 3
44.45, 52, 2 4 2
59.40, 44, 6 2 0

```
data_Pm10DyTh4
_space_group_name_H-M_alt 'I 4/m'
_space_group_IT_number 87
_space_group_name_Hall '-I 4'
_cell_length_a 9.849
_cell_length_b 9.849
_cell_length_c 10.767
_cell_angle_alpha 90.00
_cell_angle_beta 90.00
_cell_angle_gamma 90.00
loop_
_atom_site_label
_atom_site_type_symbol
_atom_site_fract_x
_atom_site_fract_y
_atom_site_fract_z
_atom_site_occupancy
Pm1 Pm 0.000 0.500 0.250 1
Pm2 Pm 0.117 0.210 0.159 1
Dy1 Dy 0.000 0.000 0.500 1
Th1 Th 0.058 0.334 0.500 1
```

=====

# 3
Simulated powder diffractogram of Pm3Dy5Th2 for a wavelength of 1.5418 Å, from DFT lattice parameters and positions (PBE).
Lines closer than 0.1° are merged.

The 10 most intense peaks (2θ = 10–90°), low angle first:
Position (°2θ), I_rel, hkl
20.54, 18, 0 4 0
29.26, 66, 2 4 0
31.78, 100, 2 2 1
32.52, 21, 0 4 2
33.18, 41, 4 0 -2
33.51, 15, 0 6 1
35.28, 25, 2 6 -1
58.40, 18, 6 2 -5
61.05, 16, 4 6 1
62.04, 23, 2 10 1

```
data_Pm3Dy5Th2
_space_group_name_H-M_alt 'C 1 2/c 1'
_space_group_IT_number 15
_cell_length_a 10.801
_cell_length_b 17.303
_cell_length_c 8.945
_cell_angle_alpha 90.00
_cell_angle_beta 127.06
_cell_angle_gamma 90.00
loop_
_space_group_symop_operation_xyz
'x,y,z'
'-x,-y,-z'
'-x,y,-z+1/2'
'x,-y,z+1/2'
'x+1/2,y+1/2,z'
'-x+1/2,-y+1/2,-z'
'-x+1/2,y+1/2,-z+1/2'
'x+1/2,-y+1/2,z+1/2'
loop_
_atom_site_label
_atom_site_type_symbol
_atom_site_fract_x
_atom_site_fract_y
_atom_site_fract_z
_atom_site_occupancy
Pm1 Pm 0.000 0.222 0.250 1
Pm2 Pm 0.144 0.123 0.038 1
Dy1 Dy 0.000 0.031 0.250 1
Dy2 Dy 0.000 0.279 0.750 1
Dy3 Dy 0.000 0.467 0.750 1
Dy4 Dy 0.249 0.117 0.751 1
Th1 Th 0.137 0.378 0.524 1
```